# Y2SiO5
Simulated powder X-ray diffraction pattern, Cu Kα, 1.54184 Å. Input: a crystal structure in the Materials Project, relaxed with PBE.

Peak list (10 most intense, 2θ from 10° to 90°, most intense first)
- (2 0 2), 2θ 30.30, rel. 100
- (3 1 -3), 2θ 29.12, rel. 80
- (3 1 -1), 2θ 22.52, rel. 75
- (0 2 1), 2θ 27.95, rel. 74
- (4 0 -2), 2θ 24.88, rel. 70
- (2 2 0), 2θ 29.88, rel. 48
- (2 0 -4), 2θ 34.72, rel. 48
- (5 3 -3), 2θ 52.12, rel. 43
- (1 1 0), 2θ 14.82, rel. 32
- (1 3 -1), 2θ 40.55, rel. 30

Structure:
abc: 14.5643 6.8354 10.5570
angles: 90.00 122.13 90.00
Space group C2/c (No. 15)
Asymmetric unit:
Y 0.0370 0.2443 0.4676 x8
Y 0.1426 0.1180 0.8375 x8
Si 0.1818 0.4099 0.3057 x8
O 0.0167 0.0938 0.8958 x8
O 0.0907 0.4909 0.1376 x8
O 0.1206 0.2165 0.3242 x8
O 0.2012 0.4270 0.9320 x8
O 0.2030 0.1480 0.6763 x8



# Y2SiO5
Simulated powder X-ray diffraction pattern, Cu Kα, 1.54184 Å. Input: a crystal structure in the Materials Project, relaxed with PBE.

Peak list (10 most intense, 2θ from 10° to 90°, most intense first)
- (1 2 1), 2θ 32.21, rel. 100
- (0 2 1), 2θ 29.15, rel. 84
- (2 0 -2), 2θ 29.30, rel. 78
- (3 0 0), 2θ 30.57, rel. 75
- (1 0 2), 2θ 32.06, rel. 72
- (1 2 -3), 2θ 48.20, rel. 68
- (2 2 -1), 2θ 33.36, rel. 56
- (3 2 1), 2θ 45.66, rel. 53
- (1 1 0), 2θ 16.26, rel. 46
- (4 0 2), 2θ 56.92, rel. 32

Structure:
abc: 9.1439 6.9551 6.7492
angles: 90.00 106.38 90.00
Space group P2_1/c (No. 14)
Asymmetric unit:
Y 0.0271 0.1254 0.2319 x4
Y 0.3772 0.1408 0.0650 x4
Si 0.2994 0.5878 0.0290 x4
O 0.1139 0.1190 0.9412 x4
O 0.1150 0.6351 0.9901 x4
O 0.2925 0.0732 0.3430 x4
O 0.3735 0.0481 0.7314 x4
O 0.3981 0.7215 0.5247 x4



Copy entry 2 word for word.
# Y2SiO5
Simulated powder X-ray diffraction pattern, Cu Kα, 1.54184 Å. Input: a crystal structure in the Materials Project, relaxed with PBE.

Peak list (10 most intense, 2θ from 10° to 90°, most intense first)
- (1 2 1), 2θ 32.21, rel. 100
- (0 2 1), 2θ 29.15, rel. 84
- (2 0 -2), 2θ 29.30, rel. 78
- (3 0 0), 2θ 30.57, rel. 75
- (1 0 2), 2θ 32.06, rel. 72
- (1 2 -3), 2θ 48.20, rel. 68
- (2 2 -1), 2θ 33.36, rel. 56
- (3 2 1), 2θ 45.66, rel. 53
- (1 1 0), 2θ 16.26, rel. 46
- (4 0 2), 2θ 56.92, rel. 32

Structure:
abc: 9.1439 6.9551 6.7492
angles: 90.00 106.38 90.00
Space group P2_1/c (No. 14)
Asymmetric unit:
Y 0.0271 0.1254 0.2319 x4
Y 0.3772 0.1408 0.0650 x4
Si 0.2994 0.5878 0.0290 x4
O 0.1139 0.1190 0.9412 x4
O 0.1150 0.6351 0.9901 x4
O 0.2925 0.0732 0.3430 x4
O 0.3735 0.0481 0.7314 x4
O 0.3981 0.7215 0.5247 x4



What is the formula in the second record? Y2SiO5